Simulated XRD peak list of KBe5 for a wavelength of 1.5418 Å, from a structure optimized by DFT (GGA-PBE).

The 6 most intense peaks (15 to 90 degrees two-theta), sorted by position:
2θ/deg  d (Å)  Rel. int.
19.67  4.514  100
26.56  3.356  100
29.69  3.009  46
31.71  2.821  80
39.34  2.290  42
46.96  1.935  57

Structural model:
Cell lengths 3.6147, 9.1123, 9.1123 Å; angles 15.62, 90.00, 90.00 degrees
Atoms (fractional coordinates):
K (0.0000, 0.0000, 0.0000)
Be (0.0000, 0.2709, 0.2709)
Be (0.0000, 0.6718, 0.6718)
Be (0.5000, 0.1572, 0.1572)
Be (0.5000, 0.3580, 0.3580)
Be (0.5000, 0.7582, 0.7582)